Entry 1:
Diffraction record for ScH3Os. The powder diffraction line list is calculated, not measured: it uses DFT lattice parameters and positions (GGA-PBE) and λ = 1.5418 Å (Cu Kα).

```
ScH3Os
1.0
1.6325 -5.6473 0.0000
1.6325 5.6473 0.0000
0.0000 0.0000 4.6947
Sc H Os
2 6 2
Cartesian
1.6325 4.1278 2.3473
1.6325 -4.1278 0.0000
1.6325 5.1601 4.2036
1.6325 2.1856 1.1905
1.6325 2.1874 3.4968
1.6325 -2.1874 1.1495
1.6325 -2.1856 3.5379
1.6325 -5.1601 1.8563
1.6325 0.9430 2.3384
1.6325 -0.9430 4.6857
```

Largest 12 diffraction maxima, by angle, 10 to 90 degrees two-theta:
2θ 15.69, d 5.647, I = 46; 2θ 24.66, d 3.610, I = 59; 2θ 28.46, d 3.137, I = 52; 2θ 31.69, d 2.824, I = 22; 2θ 34.39, d 2.608, I = 60; 2θ 37.16, d 2.420, I = 45; 2θ 38.35, d 2.347, I = 36; 2θ 41.35, d 2.184, I = 100; 2θ 48.41, d 1.880, I = 36; 2θ 69.48, d 1.353, I = 23; 2θ 71.38, d 1.321, I = 20; 2θ 77.51, d 1.231, I = 14



Entry 2:
Diffraction record for KAgSO4. The powder diffraction line list is calculated, not measured: it uses DFT lattice parameters and positions (GGA-PBE) and λ = 1.5418 Å (Cu Kα).

```
KAgSO4
1.0
5.3584 0.0000 0.0000
-2.6792 4.6405 0.0000
0.0000 0.0000 8.5821
K Ag S O
2 2 2 8
Cartesian
0.0000 0.0000 0.0000
0.0000 0.0000 4.2910
0.0000 3.0937 2.1383
2.6792 1.5468 6.4294
0.0000 3.0937 6.0089
2.6792 1.5468 1.7179
-1.3633 3.4435 6.5141
0.3787 1.7380 6.5141
0.0000 3.0937 4.5331
1.6945 0.5411 2.2231
0.9846 4.0994 6.5141
2.6792 1.5468 0.2421
2.3005 2.9024 2.2231
4.0425 1.1970 2.2231
```

Largest 12 diffraction maxima, by angle, 10 to 90 degrees two-theta:
2θ 20.70, d 4.291, I = 62; 2θ 21.77, d 4.082, I = 50; 2θ 28.33, d 3.151, I = 98; 2θ 33.45, d 2.679, I = 100; 2θ 36.91, d 2.435, I = 23; 2θ 40.26, d 2.240, I = 35; 2θ 42.12, d 2.146, I = 24; 2θ 44.39, d 2.041, I = 34; 2θ 50.66, d 1.802, I = 23; 2θ 54.82, d 1.675, I = 34; 2θ 56.70, d 1.624, I = 20; 2θ 59.79, d 1.547, I = 20



Entry 3:
Diffraction record for Ho2Er2InGe4Pd2. The powder diffraction line list is calculated, not measured: it uses DFT lattice parameters and positions (GGA-PBE) and λ = 1.5418 Å (Cu Kα).

```
Ho2Er2InGe4Pd2
1.0
7.8960 -2.1142 0.0000
7.8960 2.1142 0.0000
-2.1545 0.0000 6.8104
Ho Er In Ge Pd
2 2 1 4 2
Cartesian
1.5584 0.0000 2.8745
12.0791 0.0000 3.9359
-0.5279 0.0000 6.0055
14.1654 0.0000 0.8049
6.8188 0.0000 3.4052
4.3266 0.0000 1.8025
5.1021 0.0000 5.7211
8.5354 0.0000 1.0893
9.3109 0.0000 5.0080
2.5506 0.0000 5.9302
11.0869 0.0000 0.8803
```

Largest 12 diffraction maxima, by angle, 10 to 90 degrees two-theta:
2θ 32.89, d 2.723, I = 79; 2θ 34.15, d 2.626, I = 21; 2θ 34.33, d 2.612, I = 49; 2θ 35.73, d 2.513, I = 100; 2θ 36.64, d 2.453, I = 30; 2θ 37.57, d 2.394, I = 17; 2θ 39.70, d 2.270, I = 31; 2θ 41.96, d 2.153, I = 19; 2θ 42.77, d 2.114, I = 42; 2θ 59.77, d 1.547, I = 18; 2θ 62.16, d 1.493, I = 20; 2θ 73.73, d 1.285, I = 19



Entry 4:
Diffraction record for Hf2Si2O5. The powder diffraction line list is calculated, not measured: it uses DFT lattice parameters and positions (GGA-PBE) and λ = 1.5418 Å (Cu Kα).

```
Hf2Si2O5
1.0
4.0552 0.0000 0.0000
0.0000 4.0552 0.0000
0.0000 0.0000 7.7177
Hf Si O
2 2 5
Cartesian
0.0000 0.0000 1.8772
0.0000 0.0000 5.8405
2.0276 2.0276 0.0000
2.0276 2.0276 3.8588
0.0000 0.0000 3.8588
0.0000 2.0276 1.9160
0.0000 2.0276 5.8017
2.0276 0.0000 1.9160
2.0276 0.0000 5.8017
```

Largest 12 diffraction maxima, by angle, 10 to 90 degrees two-theta:
2θ 21.92, d 4.055, I = 80; 2θ 23.05, d 3.859, I = 44; 2θ 31.19, d 2.867, I = 45; 2θ 32.02, d 2.795, I = 100; 2θ 39.14, d 2.302, I = 17; 2θ 44.69, d 2.028, I = 31; 2θ 50.31, d 1.814, I = 18; 2θ 50.87, d 1.795, I = 21; 2θ 52.52, d 1.742, I = 15; 2θ 56.03, d 1.641, I = 42; 2θ 57.58, d 1.601, I = 16; 2θ 66.95, d 1.398, I = 17



Entry 5:
Diffraction record for PtCl3. The powder diffraction line list is calculated, not measured: it uses DFT lattice parameters and positions (GGA-PBE) and λ = 1.5418 Å (Cu Kα).

```
PtCl3
1.0
10.7074 6.1819 2.8970
-10.7074 6.1819 2.8970
0.0000 -12.3639 2.8970
Pt Cl
12 36
Cartesian
-1.9467 -0.1159 1.3885
1.0737 -1.6280 1.3885
-6.1067 -0.5071 4.4093
-2.6142 -5.5421 4.2817
0.8730 1.7438 1.3885
-3.4926 5.0350 4.2817
3.4925 -5.0350 4.4093
-0.8730 -1.7438 7.3025
2.6142 5.5421 4.4093
6.1067 0.5071 4.2817
-1.0737 1.6280 7.3025
1.9467 0.1159 7.3025
-7.1377 1.0922 2.9699
-3.7055 -4.0517 2.8234
-0.1882 -9.0841 2.8898
-7.7729 4.7050 2.8898
-4.1495 -0.3863 3.1050
-0.7034 -5.5237 2.9883
-7.9611 -4.3790 5.8013
-0.8511 -1.7026 2.6955
-4.4319 3.3710 2.9883
2.6229 -6.7275 2.9699
-4.5148 -5.6353 5.7212
-1.0490 1.5884 2.6955
-5.1354 -2.1526 5.7028
2.4093 -3.4005 3.1050
-1.6561 5.2349 2.8234
1.9001 0.1143 2.6955
-5.3616 1.1832 5.8677
-1.7402 -3.7868 5.5861
1.7402 3.7868 3.1050
5.3616 -1.1832 2.8234
-1.9001 -0.1143 5.9955
1.6561 -5.2349 5.8677
-2.4093 3.4005 5.5861
5.1354 2.1527 2.9883
1.0490 -1.5884 5.9955
4.5147 5.6353 2.9699
-2.6229 6.7276 5.7212
4.4319 -3.3711 5.7028
0.8511 1.7027 5.9955
7.9611 4.3790 2.8898
0.7034 5.5237 5.7028
4.1495 0.3863 5.5861
7.7729 -4.7050 5.8013
0.1882 9.0840 5.8013
3.7055 4.0517 5.8677
7.1377 -1.0922 5.7212
```

Largest 12 diffraction maxima, by angle, 10 to 90 degrees two-theta:
2θ 13.97, d 6.341, I = 40; 2θ 14.33, d 6.182, I = 92; 2θ 16.25, d 5.456, I = 16; 2θ 20.06, d 4.427, I = 41; 2θ 21.73, d 4.091, I = 30; 2θ 21.96, d 4.047, I = 19; 2θ 26.86, d 3.319, I = 16; 2θ 34.18, d 2.623, I = 19; 2θ 35.98, d 2.496, I = 100; 2θ 51.66, d 1.769, I = 32; 2θ 51.95, d 1.760, I = 32; 2θ 64.81, d 1.439, I = 16



Entry 6:
Diffraction record for AlZnFe2. The powder diffraction line list is calculated, not measured: it uses DFT lattice parameters and positions (GGA-PBE) and λ = 1.5418 Å (Cu Kα).

```
AlZnFe2
1.0
5.7784 0.0000 0.0000
0.0000 5.7784 0.0000
0.0000 0.0000 5.7784
Al Zn Fe
4 4 8
Cartesian
0.0000 0.0000 0.0000
0.0000 0.0000 2.8892
0.0000 2.8892 0.0000
2.8892 0.0000 0.0000
0.0000 2.8892 2.8892
2.8892 0.0000 2.8892
2.8892 2.8892 0.0000
2.8892 2.8892 2.8892
1.4347 1.4347 1.4347
1.4347 1.4347 4.3437
1.4347 4.3437 1.4347
1.4347 4.3437 4.3437
4.3437 1.4347 1.4347
4.3437 1.4347 4.3437
4.3437 4.3437 1.4347
4.3437 4.3437 4.3437
```

Largest 12 diffraction maxima, by angle, 10 to 90 degrees two-theta:
2θ 15.33, d 5.778, I = 6; 2θ 26.72, d 3.336, I = 3; 2θ 30.95, d 2.889, I = 1; 2θ 34.71, d 2.584, I = 5; 2θ 44.34, d 2.043, I = 100; 2θ 47.19, d 1.926, I = 2; 2θ 52.53, d 1.742, I = 1; 2θ 57.51, d 1.603, I = 1; 2θ 64.51, d 1.445, I = 15; 2θ 66.75, d 1.401, I = 1; 2θ 75.38, d 1.261, I = 1; 2θ 81.63, d 1.180, I = 30



Entry 7:
Diffraction record for Lu4Al4O11. The powder diffraction line list is calculated, not measured: it uses DFT lattice parameters and positions (GGA-PBE) and λ = 1.5418 Å (Cu Kα).

```
Lu4Al4O11
1.0
5.0661 0.0000 0.0000
0.0338 5.3094 0.0000
0.0017 0.0095 7.2884
Lu Al O
4 4 11
Cartesian
0.0000 0.0000 0.0000
0.1656 0.6908 3.6463
2.5362 3.3425 3.7009
2.7297 2.6700 0.0149
0.1046 3.0054 1.8405
0.1355 2.9844 5.4728
2.6097 0.3709 5.4753
2.6185 0.3499 1.8405
0.6158 3.1562 0.0140
1.1158 4.6108 5.1029
1.1194 4.5938 2.2115
1.6298 1.9430 2.2455
2.1064 0.5252 0.0070
3.1100 0.2016 3.6623
3.6440 4.0646 5.8443
3.6493 4.0752 1.4474
4.1567 1.4177 5.8420
4.1631 1.4075 1.4519
4.6557 2.8507 3.6515
```

Largest 12 diffraction maxima, by angle, 10 to 90 degrees two-theta:
2θ 24.21, d 3.677, I = 49; 2θ 24.40, d 3.648, I = 100; 2θ 27.31, d 3.266, I = 22; 2θ 33.76, d 2.655, I = 27; 2θ 34.66, d 2.588, I = 71; 2θ 34.77, d 2.580, I = 75; 2θ 35.44, d 2.533, I = 38; 2θ 36.00, d 2.494, I = 29; 2θ 42.11, d 2.146, I = 24; 2θ 43.51, d 2.080, I = 37; 2θ 50.06, d 1.822, I = 22; 2θ 56.38, d 1.632, I = 36



Entry 8:
Diffraction record for Ni2Mo3N. The powder diffraction line list is calculated, not measured: it uses DFT lattice parameters and positions (GGA-PBE) and λ = 1.5418 Å (Cu Kα).

```
Ni2Mo3N
1.0
6.6551 0.0000 0.0000
0.0000 6.6551 0.0000
0.0000 0.0000 6.6551
Ni Mo N
8 12 4
Cartesian
0.4436 0.4436 0.4436
1.2202 5.4350 2.1074
2.1074 1.2202 5.4350
2.8840 6.2116 3.7712
3.7712 2.8840 6.2116
4.5478 4.5478 4.5478
5.4350 2.1074 1.2202
6.2116 3.7712 2.8840
0.3277 5.8233 4.6637
0.8319 1.3361 2.9999
1.3361 2.9999 0.8319
1.9915 3.6553 4.1595
2.4957 5.3191 6.3274
2.9999 0.8319 1.3361
3.6553 4.1595 1.9915
4.1595 1.9915 3.6553
4.6637 0.3277 5.8233
5.3191 6.3274 2.4957
5.8233 4.6637 0.3277
6.3274 2.4957 5.3191
0.8319 4.1595 5.8233
2.4957 2.4957 2.4957
4.1595 5.8233 0.8319
5.8233 0.8319 4.1595
```

Largest 12 diffraction maxima, by angle, 10 to 90 degrees two-theta:
2θ 30.02, d 2.976, I = 6; 2θ 40.67, d 2.218, I = 100; 2θ 42.98, d 2.105, I = 56; 2θ 45.19, d 2.007, I = 27; 2θ 51.37, d 1.779, I = 6; 2θ 58.87, d 1.569, I = 8; 2θ 62.40, d 1.488, I = 7; 2θ 72.41, d 1.305, I = 24; 2θ 77.19, d 1.236, I = 20; 2θ 78.76, d 1.215, I = 6; 2θ 86.52, d 1.125, I = 7; 2θ 88.06, d 1.109, I = 7